Simulated powder diffractogram
Compound: CePmV2O8
Radiation: Cu Kα
Structure: a cell relaxed with GGA+U
Neutral-atom scattering factors, no anomalous dispersion.

Main lines, in order of falling intensity (10 to 90 degrees two-theta):
3.096 Å, rel. 100; 1.577 Å, rel. 30; 1.931 Å, rel. 28; 4.730 Å, rel. 25; 1.708 Å, rel. 19; 2.590 Å, rel. 17; 2.272 Å, rel. 15; 2.897 Å, rel. 15; 1.249 Å, rel. 13; 1.832 Å, rel. 12

Cell and atoms:
```
CePmV2O8
1.0
-2.5904 2.5904 5.7938
2.5904 -2.5904 5.7938
2.5904 2.5904 -5.7938
Ce Pm V O
1 1 2 8
Direct
0.0000 0.0000 0.0000
0.7500 0.2500 0.5000
0.2500 0.7500 0.5000
0.5000 0.5000 0.0000
0.0242 0.9188 0.6020
0.0812 0.6832 0.1053
0.1629 0.2712 0.5891
0.3168 0.4221 0.3980
0.4262 0.8371 0.1083
0.5779 0.9758 0.8947
0.6821 0.5738 0.4109
0.7288 0.3179 0.8917
```